For Cs2SbOF5, the PBE geometry in Alexandria gives the computed powder diffractogram in this record (CuKα).
No peak broadening, texture or thermal motion is included.

Cell lengths 6.7478, 6.7478, 6.7478 Å; angles 122.93, 122.93, 85.00 degrees
Fractional coordinates of all 9 atoms:
Cs 0.0000 0.5000 0.5000
Cs 0.5000 0.0000 0.5000
Sb 0.2414 0.2414 0.0000
O 0.0542 0.0542 0.0000
F 0.0509 0.0509 0.5693
F 0.0509 0.4816 0.0000
F 0.4407 0.4407 0.0000
F 0.4816 0.0509 0.0000
F 0.4816 0.4816 0.4307

Peak list (6 most intense, 5° ≤ 2θ ≤ 70°, sorted by position)
2θ 16.38, 5.411 Å, intensity 59
2θ 26.52, 3.361 Å, intensity 100
2θ 27.67, 3.224 Å, intensity 42
2θ 33.11, 2.705 Å, intensity 25
2θ 39.54, 2.279 Å, intensity 31
2θ 48.24, 1.886 Å, intensity 36

For Cs2TiOF5, the PBE geometry in Alexandria gives the computed powder diffractogram in this record (CuKα).
No peak broadening, texture or thermal motion is included.

Cell lengths 6.5527, 6.5527, 6.4317 Å; angles 118.31, 118.31, 93.79 degrees
Fractional coordinates of all 9 atoms:
Cs 0.2505 0.7495 0.0000
Cs 0.7495 0.2505 0.0000
Ti 0.9995 0.9995 0.4986
O 0.7912 0.7912 0.0832
F 0.1813 0.1813 0.4434
F 0.2072 0.2072 0.9132
F 0.2127 0.8138 0.5257
F 0.7643 0.7643 0.4472
F 0.8138 0.2127 0.5257

Peak list (6 most intense, 5° ≤ 2θ ≤ 70°, sorted by position)
2θ 16.60, 5.341 Å, intensity 43
2θ 18.55, 4.784 Å, intensity 30
2θ 26.79, 3.327 Å, intensity 75
2θ 27.28, 3.269 Å, intensity 70
2θ 27.71, 3.219 Å, intensity 70
2θ 33.56, 2.671 Å, intensity 100

For CsTi2O3F3, the PBE geometry in Alexandria gives the computed powder diffractogram in this record (CuKα).
No peak broadening, texture or thermal motion is included.

Cell lengths 7.4515, 7.3915, 7.2260 Å; angles 61.28, 60.45, 58.26 degrees
Fractional coordinates of all 18 atoms:
Cs 0.0000 0.0000 0.0000
Cs 0.2500 0.2500 0.2500
Ti 0.1355 0.6253 0.6066
Ti 0.6066 0.6325 0.1355
Ti 0.6253 0.1355 0.6325
Ti 0.6325 0.6066 0.6253
O 0.3118 0.6882 0.3118
O 0.3204 0.3204 0.6796
O 0.5850 0.5850 0.9150
O 0.6796 0.6796 0.3204
O 0.6882 0.3118 0.6882
O 0.9150 0.9150 0.5850
F 0.3030 0.6970 0.6970
F 0.5457 0.9543 0.9543
F 0.5534 0.9466 0.5534
F 0.6970 0.3030 0.3030
F 0.9466 0.5534 0.9466
F 0.9543 0.5457 0.5457

Peak list (6 most intense, 5° ≤ 2θ ≤ 70°, sorted by position)
2θ 23.91, 3.722 Å, intensity 51
2θ 24.13, 3.689 Å, intensity 45
2θ 27.76, 3.214 Å, intensity 100
2θ 28.66, 3.114 Å, intensity 89
2θ 29.03, 3.076 Å, intensity 84
2θ 45.35, 2.000 Å, intensity 49

For CsTiZnOF5, the PBE geometry in Alexandria gives the computed powder diffractogram in this record (CuKα).
No peak broadening, texture or thermal motion is included.

Cell lengths 7.4732, 7.4732, 7.4732 Å; angles 121.52, 120.17, 88.54 degrees
Fractional coordinates of all 18 atoms:
Cs 0.3670 0.1170 0.2500
Cs 0.6330 0.8830 0.7500
Ti 0.0000 0.0000 0.5000
Ti 0.0000 0.5000 0.0000
Zn 0.0000 0.5000 0.5000
Zn 0.5000 0.5000 0.0000
O 0.0365 0.7865 0.2500
O 0.9635 0.2135 0.7500
F 0.0601 0.4108 0.2239
F 0.0601 0.8363 0.6493
F 0.3131 0.1637 0.7239
F 0.3131 0.5892 0.1493
F 0.3219 0.5719 0.7500
F 0.6781 0.4281 0.2500
F 0.6869 0.4108 0.8507
F 0.6869 0.8363 0.2761
F 0.9399 0.1637 0.3507
F 0.9399 0.5892 0.7761

Peak list (6 most intense, 5° ≤ 2θ ≤ 70°, sorted by position)
2θ 23.83, 3.734 Å, intensity 83
2θ 27.72, 3.218 Å, intensity 52
2θ 27.83, 3.205 Å, intensity 44
2θ 28.15, 3.170 Å, intensity 100
2θ 28.47, 3.135 Å, intensity 79
2θ 48.76, 1.867 Å, intensity 66